Calculated powder diffraction line list of RbDyAuS2 for λ = 1.5418 Å (Cu Kα), from the PBE geometry in Alexandria.
Peak positions follow from Bragg's law for the DFT cell and can differ from measured ones.

Largest 12 diffraction maxima, low angle first, 15 to 90 degrees two-theta:
(2 0 0), 2θ = 23.7°, rel. 85
(0 1 2), 2θ = 29.4°, rel. 50
(1 1 -2), 2θ = 30.3°, rel. 100
(1 1 2), 2θ = 33.3°, rel. 93
(2 1 -2), 2θ = 35.4°, rel. 48
(1 2 0), 2θ = 37.7°, rel. 56
(2 1 2), 2θ = 40.6°, rel. 35
(2 2 0), 2θ = 43.3°, rel. 32
(3 1 -2), 2θ = 43.7°, rel. 47
(4 0 0), 2θ = 48.4°, rel. 22
(3 1 2), 2θ = 50.2°, rel. 27
(3 2 0), 2θ = 51.5°, rel. 26

Cell and atoms:
```
RbDyAuS2
1.0
7.6240 0.0000 0.0000
0.0000 5.0288 0.0000
-1.2966 0.0000 7.6105
Rb Dy Au S
2 2 2 4
direct
0.0000 0.1431 0.2500
0.0000 0.8569 0.7500
0.5000 0.4937 0.7500
0.5000 0.5063 0.2500
0.5000 0.0000 0.0000
0.5000 0.0000 0.5000
0.2679 0.3505 0.9635
0.2679 0.6495 0.4635
0.7321 0.3505 0.5365
0.7321 0.6495 0.0365
```